The following is a computed X-ray diffraction stick pattern of Ac5Er2Pb4. It was derived from the PBE geometry in Alexandria, using Cu Kα (weighted mean of Kα1 and Kα2).
No peak broadening, texture or thermal motion is included.

Structural model:
```
data_Ac5Er2Pb4
_symmetry_space_group_name_H-M 'P 1'
_symmetry_Int_Tables_number 1
_symmetry_space_group_name_Hall 'P 1'
_cell_length_a 12.085
_cell_length_b 12.085
_cell_length_c 9.034
_cell_angle_alpha 96.46
_cell_angle_beta 96.46
_cell_angle_gamma 18.43
loop_
_atom_site_label
_atom_site_fract_x
_atom_site_fract_y
_atom_site_fract_z
_atom_site_occupancy
Ac1 0.000 0.000 0.000 1
Ac2 0.264 0.264 0.672 1
Ac3 0.341 0.341 0.105 1
Ac4 0.659 0.659 0.895 1
Ac5 0.736 0.736 0.328 1
Er1 0.112 0.112 0.516 1
Er2 0.888 0.888 0.484 1
Pb1 0.404 0.404 0.776 1
Pb2 0.473 0.473 0.323 1
Pb3 0.527 0.527 0.677 1
Pb4 0.596 0.596 0.224 1
```

Peak list (10 most intense, 2θ from 10° to 90°, by intensity)
2theta, Rel. int.
30.4, 100
27.0, 53
30.7, 48
31.9, 47
37.5, 40
32.1, 37
25.6, 31
26.2, 31
46.9, 30
35.8, 29